CuAu3: calculated powder diffractogram (copper Kα), based on the PBE geometry in the Materials Project.
Kinematic intensities with the Lorentz-polarization factor, no thermal factor.

Crystal structure
```
data_CuAu3
_chemical_formula_sum 'Cu2 Au6'
_space_group_name_H-M_alt 'P 1'
_space_group_IT_number 1
_cell_length_a 5.7053
_cell_length_b 5.7053
_cell_length_c 4.7551
_cell_angle_alpha 90.00
_cell_angle_beta 90.00
_cell_angle_gamma 120.00
loop_
_space_group_symop_operation_xyz
'x,y,z'
loop_
_atom_site_label
_atom_site_type_symbol
_atom_site_fract_x
_atom_site_fract_y
_atom_site_fract_z
Cu1 Cu 0.3333 0.6667 0.2500
Cu2 Cu 0.6667 0.3333 0.7500
Au1 Au 0.1694 0.3388 0.7500
Au2 Au 0.1694 0.8306 0.7500
Au3 Au 0.3388 0.1694 0.2500
Au4 Au 0.6612 0.8306 0.7500
Au5 Au 0.8306 0.1694 0.2500
Au6 Au 0.8306 0.6612 0.2500
```

Peak list (6 most intense, 10 to 80 degrees two-theta, by angle)
index  2θ/deg  I (rel.)
2 0 0  36.37  23.4
0 0 2  37.84  28.1
2 0 1  41.18  100.0
2 2 0  65.43  17.0
2 0 3  70.60  20.5
2 2 2  78.14  20.8

CuAu: calculated powder diffractogram (copper Kα), based on the PBE geometry in the Materials Project.
Kinematic intensities with the Lorentz-polarization factor, no thermal factor.

Crystal structure
```
data_CuAu
_chemical_formula_sum 'Cu1 Au1'
_space_group_name_H-M_alt 'P 1'
_space_group_IT_number 1
_cell_length_a 2.8642
_cell_length_b 2.8642
_cell_length_c 3.6619
_cell_angle_alpha 90.00
_cell_angle_beta 90.00
_cell_angle_gamma 90.00
loop_
_space_group_symop_operation_xyz
'x,y,z'
loop_
_atom_site_label
_atom_site_type_symbol
_atom_site_fract_x
_atom_site_fract_y
_atom_site_fract_z
Cu1 Cu 0.0000 0.0000 0.0000
Au1 Au 0.5000 0.5000 0.5000
```

Peak list (6 most intense, 10 to 80 degrees two-theta, by angle)
index  2θ/deg  I (rel.)
0 0 1  24.31  20.3
1 0 0  31.23  22.2
1 0 1  39.96  100.0
1 1 0  44.75  36.2
1 1 2  69.17  19.6
2 1 1  79.23  27.0

CuAu3: calculated powder diffractogram (copper Kα), based on the PBE geometry in the Materials Project.
Kinematic intensities with the Lorentz-polarization factor, no thermal factor.

Crystal structure
```
data_CuAu3
_chemical_formula_sum 'Cu1 Au3'
_space_group_name_H-M_alt 'P 1'
_space_group_IT_number 1
_cell_length_a 4.0533
_cell_length_b 4.0533
_cell_length_c 4.0533
_cell_angle_alpha 90.00
_cell_angle_beta 90.00
_cell_angle_gamma 90.00
loop_
_space_group_symop_operation_xyz
'x,y,z'
loop_
_atom_site_label
_atom_site_type_symbol
_atom_site_fract_x
_atom_site_fract_y
_atom_site_fract_z
Cu1 Cu 0.0000 0.0000 0.0000
Au1 Au 0.0000 0.5000 0.5000
Au2 Au 0.5000 0.0000 0.5000
Au3 Au 0.5000 0.5000 0.0000
```

Peak list (6 most intense, 10 to 80 degrees two-theta, by angle)
index  2θ/deg  I (rel.)
1 0 0  21.93  11.3
1 1 0  31.21  9.7
1 1 1  38.47  100.0
2 0 0  44.72  49.2
2 2 0  65.09  32.3
3 1 1  78.22  38.8

Cu3Au: calculated powder diffractogram (copper Kα), based on the PBE geometry in the Materials Project.
Kinematic intensities with the Lorentz-polarization factor, no thermal factor.

Crystal structure
```
data_Cu3Au
_chemical_formula_sum 'Cu3 Au1'
_space_group_name_H-M_alt 'P 1'
_space_group_IT_number 1
_cell_length_a 3.7739
_cell_length_b 3.7739
_cell_length_c 3.7739
_cell_angle_alpha 90.00
_cell_angle_beta 90.00
_cell_angle_gamma 90.00
loop_
_space_group_symop_operation_xyz
'x,y,z'
loop_
_atom_site_label
_atom_site_type_symbol
_atom_site_fract_x
_atom_site_fract_y
_atom_site_fract_z
Cu1 Cu 0.0000 0.0000 0.5000
Cu2 Cu 0.0000 0.5000 0.0000
Cu3 Cu 0.5000 0.0000 0.0000
Au1 Au 0.5000 0.5000 0.5000
```

Peak list (6 most intense, 10 to 80 degrees two-theta, by angle)
index  2θ/deg  I (rel.)
1 0 0  23.57  31.7
1 1 0  33.58  26.8
1 1 1  41.44  100.0
2 0 0  48.23  47.9
2 1 0  54.36  14.6
2 2 0  70.59  29.5

CuAu: calculated powder diffractogram (copper Kα), based on the PBE geometry in the Materials Project.
Kinematic intensities with the Lorentz-polarization factor, no thermal factor.

Crystal structure
```
data_CuAu
_chemical_formula_sum 'Cu3 Au3'
_space_group_name_H-M_alt 'P 1'
_space_group_IT_number 1
_cell_length_a 2.8861
_cell_length_b 2.8861
_cell_length_c 12.7685
_cell_angle_alpha 90.00
_cell_angle_beta 90.00
_cell_angle_gamma 120.00
loop_
_space_group_symop_operation_xyz
'x,y,z'
loop_
_atom_site_label
_atom_site_type_symbol
_atom_site_fract_x
_atom_site_fract_y
_atom_site_fract_z
Cu1 Cu 0.0000 0.0000 0.0000
Cu2 Cu 0.3333 0.6667 0.6667
Cu3 Cu 0.6667 0.3333 0.3333
Au1 Au 0.0000 0.0000 0.5000
Au2 Au 0.3333 0.6667 0.1667
Au3 Au 0.6667 0.3333 0.8333
```

Peak list (6 most intense, 10 to 80 degrees two-theta, by angle)
index  2θ/deg  I (rel.)
0 0 3  20.87  35.2
1 0 1  36.64  27.0
0 1 2  38.69  100.0
0 0 6  42.48  25.6
1 0 4  46.13  60.6
1 1 0  64.58  21.9

CuAu4: calculated powder diffractogram (copper Kα), based on the PBE geometry in the Materials Project.
Kinematic intensities with the Lorentz-polarization factor, no thermal factor.

Crystal structure
```
data_CuAu4
_chemical_formula_sum 'Cu3 Au12'
_space_group_name_H-M_alt 'P 1'
_space_group_IT_number 1
_cell_length_a 2.9304
_cell_length_b 2.9304
_cell_length_c 34.3387
_cell_angle_alpha 90.00
_cell_angle_beta 90.00
_cell_angle_gamma 120.00
loop_
_space_group_symop_operation_xyz
'x,y,z'
loop_
_atom_site_label
_atom_site_type_symbol
_atom_site_fract_x
_atom_site_fract_y
_atom_site_fract_z
Cu1 Cu 0.0000 0.0000 0.0000
Cu2 Cu 0.3333 0.6667 0.6667
Cu3 Cu 0.6667 0.3333 0.3333
Au1 Au 0.0000 0.0000 0.2019
Au2 Au 0.0000 0.0000 0.3938
Au3 Au 0.0000 0.0000 0.6062
Au4 Au 0.0000 0.0000 0.7981
Au5 Au 0.3333 0.6667 0.0604
Au6 Au 0.3333 0.6667 0.2729
Au7 Au 0.3333 0.6667 0.4648
Au8 Au 0.3333 0.6667 0.8686
Au9 Au 0.6667 0.3333 0.1314
Au10 Au 0.6667 0.3333 0.5352
Au11 Au 0.6667 0.3333 0.7271
Au12 Au 0.6667 0.3333 0.9396
```

Peak list (6 most intense, 10 to 80 degrees two-theta, by angle)
index  2θ/deg  I (rel.)
0 1 5  37.79  100.0
0 0 15  39.36  25.5
1 0 10  44.39  60.2
1 1 0  63.49  22.6
0 1 20  65.66  14.8
1 1 15  77.32  21.8